Record 1
Tb5DyTl8: simulated X-ray diffraction stick pattern (Cu Kα (weighted mean of Kα1 and Kα2)), based on a crystal structure in Alexandria, relaxed with PBE.
Kinematic intensities with the Lorentz-polarization factor, no thermal factor.

Principal peaks in the range 10° ≤ 2θ ≤ 90°, low angle first:
h k l, two_theta, Rel. int.
2 1 1, 23.4, 12
3 1 0, 30.4, 100
3 1 2, 36.2, 90
2 4 0, 43.5, 11
2 4 2, 47.9, 24
4 1 3, 50.0, 16
1 6 1, 61.5, 20
1 1 6, 61.6, 10
4 5 1, 65.0, 17
5 5 2, 75.1, 9

Atomic structure:
Cell: 9.3032 9.3032 9.2813 Å, 90.00 90.00 90.00°
Space group I-4 (No. 82)
Symmetry-distinct sites (fractional):
Tb 0.0000 0.0000 0.0000
Tb 0.1243 0.2477 0.3756
Dy 0.0000 0.5000 0.7500
Tl 0.0806 0.3326 0.0431
Tl 0.0832 0.1694 0.7084

***

Record 2
Tb12Dy2Tl: simulated X-ray diffraction stick pattern (Cu Kα (weighted mean of Kα1 and Kα2)), based on a crystal structure in Alexandria, relaxed with PBE.
Kinematic intensities with the Lorentz-polarization factor, no thermal factor.

Principal peaks in the range 10° ≤ 2θ ≤ 90°, low angle first:
h k l, two_theta, Rel. int.
0 2 7, 30.8, 29
2 0 4, 31.1, 15
2 2 2, 31.6, 29
0 4 0, 31.8, 100
2 2 3, 33.1, 8
0 2 8, 34.2, 34
2 4 4, 45.0, 11
4 0 -2, 51.0, 8
2 6 -4, 56.6, 16
4 4 -2, 61.3, 10

Atomic structure:
Cell: 7.1689 11.2694 23.9529 Å, 90.00 97.90 90.00°
Space group C2/m (No. 12)
Symmetry-distinct sites (fractional):
Tb 0.0179 0.2493 0.3044
Tb 0.0425 0.0000 0.3736
Tb 0.0423 0.5000 0.3727
Tb 0.0445 0.2501 0.8260
Tb 0.0887 0.5000 0.9230
Tb 0.0899 0.0000 0.9234
Tb 0.1510 0.2496 0.0567
Tb 0.1688 0.2503 0.5678
Dy 0.2324 0.0000 0.2332
Dy 0.2324 0.5000 0.2333
Tl 0.2492 0.5000 0.4997

***

Record 3
Tb7Dy3Tl2: simulated X-ray diffraction stick pattern (Cu Kα (weighted mean of Kα1 and Kα2)), based on a crystal structure in Alexandria, relaxed with PBE.
Kinematic intensities with the Lorentz-polarization factor, no thermal factor.

Principal peaks in the range 10° ≤ 2θ ≤ 90°, low angle first:
h k l, two_theta, Rel. int.
0 0 6, 29.1, 27
1 1 -2, 30.7, 29
1 1 2, 31.3, 100
0 1 4, 31.5, 29
2 0 -1, 31.9, 66
1 0 -6, 32.4, 58
1 0 6, 34.2, 27
1 1 -4, 34.8, 43
0 2 0, 50.5, 23
2 2 -1, 61.0, 23

Atomic structure:
Cell: 5.6223 3.6159 18.4338 Å, 90.00 93.74 90.00°
Space group P2/m (No. 10)
Symmetry-distinct sites (fractional):
Tb 0.0000 0.0000 0.0000
Tb 0.1680 0.5000 0.1717
Tb 0.2585 0.5000 0.5404
Tb 0.3345 0.0000 0.8519
Dy 0.2223 0.0000 0.3664
Dy 0.5000 0.5000 0.0000
Tl 0.2975 0.5000 0.7072

***

Record 4
Tb3Dy4Tl2: simulated X-ray diffraction stick pattern (Cu Kα (weighted mean of Kα1 and Kα2)), based on a crystal structure in Alexandria, relaxed with PBE.
Kinematic intensities with the Lorentz-polarization factor, no thermal factor.

Principal peaks in the range 10° ≤ 2θ ≤ 90°, low angle first:
h k l, two_theta, Rel. int.
4 0 -1, 31.3, 40
3 1 -3, 32.2, 100
1 1 2, 32.5, 92
0 2 0, 33.3, 51
4 2 -1, 46.4, 29
2 0 -5, 46.5, 18
6 0 -6, 56.7, 15
2 2 -5, 58.4, 16
3 3 -3, 58.8, 18
1 3 2, 59.0, 16

Atomic structure:
Cell: 12.1216 5.3882 10.2161 Å, 90.00 125.89 90.00°
Space group C2/m (No. 12)
Symmetry-distinct sites (fractional):
Tb 0.0000 0.0000 0.0000
Tb 0.1450 0.5000 0.6793
Dy 0.0982 0.0000 0.4279
Dy 0.2318 0.5000 0.0807
Tl 0.0871 0.5000 0.2552

***

Record 5
Tb5DyTl6: simulated X-ray diffraction stick pattern (Cu Kα (weighted mean of Kα1 and Kα2)), based on a crystal structure in Alexandria, relaxed with PBE.
Kinematic intensities with the Lorentz-polarization factor, no thermal factor.

Principal peaks in the range 10° ≤ 2θ ≤ 90°, low angle first:
h k l, two_theta, Rel. int.
1 3 1, 33.3, 100
3 3 -1, 33.4, 50
2 6 -2, 47.7, 18
4 0 0, 48.0, 9
1 9 1, 59.4, 29
4 6 0, 59.6, 24
2 6 2, 69.9, 9
6 6 -2, 70.1, 6
2 12 -2, 79.4, 8
5 9 -3, 79.6, 8

Atomic structure:
Cell: 9.2865 16.1922 5.3872 Å, 90.00 125.23 90.00°
Space group C2/m (No. 12)
Symmetry-distinct sites (fractional):
Tb 0.0000 0.0000 0.0000
Tb 0.0000 0.1666 0.5000
Tb 0.0000 0.3330 0.0000
Dy 0.0000 0.5000 0.5000
Tl 0.2490 0.5000 0.2490
Tl 0.2505 0.1663 0.2504

***

Record 6
Tb3DyTl3: simulated X-ray diffraction stick pattern (Cu Kα (weighted mean of Kα1 and Kα2)), based on a crystal structure in Alexandria, relaxed with PBE.
Kinematic intensities with the Lorentz-polarization factor, no thermal factor.

Principal peaks in the range 10° ≤ 2θ ≤ 90°, low angle first:
h k l, two_theta, Rel. int.
3 0 1, 30.2, 100
3 1 2, 35.9, 68
4 2 0, 43.2, 18
3 3 2, 45.4, 13
4 2 2, 47.6, 14
4 3 1, 49.7, 19
6 1 1, 61.0, 29
6 0 2, 62.8, 11
5 4 1, 64.5, 15
7 2 1, 74.5, 18

Atomic structure:
Cell: 9.3627 9.3627 9.3627 Å, 90.00 90.00 90.00°
Space group P2_13 (No. 198)
Symmetry-distinct sites (fractional):
Tb 0.0728 0.4272 0.5728
Tb 0.1765 0.1765 0.1765
Tb 0.1764 0.8236 0.3236
Dy 0.0734 0.5734 0.9266
Tl 0.0001 0.2507 0.8740